No. 1
Calculated X-ray powder pattern of K3Zr6BeCl15 for a wavelength of 1.5418 Å, from a crystal structure in OQMD, relaxed with GGA-PBE.

Atomic structure:
Cell: 10.0255 10.0255 14.1520 Å, 92.13 92.13 69.58°
Positions (direct):
1 K 0.0623 0.9377 0.7500
2 K 0.1316 0.6419 0.4326
3 K 0.3581 0.8684 0.0674
4 K 0.6419 0.1316 0.9326
5 K 0.8684 0.3581 0.5674
6 K 0.9377 0.0623 0.2500
7 Zr 0.0017 0.7310 0.0011
8 Zr 0.1526 0.4528 0.1351
9 Zr 0.1995 0.4246 0.9021
10 Zr 0.2690 0.9983 0.4989
11 Zr 0.4246 0.1995 0.4021
12 Zr 0.4528 0.1526 0.6351
13 Zr 0.5472 0.8474 0.3649
14 Zr 0.5754 0.8005 0.5979
15 Zr 0.7310 0.0017 0.5011
16 Zr 0.8005 0.5754 0.0979
17 Zr 0.8474 0.5472 0.8649
18 Zr 0.9983 0.2690 0.9989
19 Be 0.0000 0.5000 0.0000
20 Be 0.5000 0.0000 0.5000
21 Cl 0.0000 0.0000 0.0000
22 Cl 0.0000 0.0000 0.5000
23 Cl 0.0493 0.4826 0.7460
24 Cl 0.1555 0.2229 0.3989
25 Cl 0.1592 0.1906 0.1471
26 Cl 0.1588 0.7118 0.1518
27 Cl 0.1906 0.1592 0.6471
28 Cl 0.2229 0.1555 0.8989
29 Cl 0.2230 0.6770 0.8960
30 Cl 0.2882 0.8412 0.3482
31 Cl 0.3230 0.7770 0.6040
32 Cl 0.3303 0.4259 0.2897
33 Cl 0.3655 0.3856 0.5412
34 Cl 0.3856 0.3655 0.0412
35 Cl 0.4259 0.3303 0.7897
36 Cl 0.4826 0.0493 0.2460
37 Cl 0.5174 0.9507 0.7540
38 Cl 0.5741 0.6697 0.2103
39 Cl 0.6144 0.6345 0.9588
40 Cl 0.6345 0.6144 0.4588
41 Cl 0.6697 0.5741 0.7103
42 Cl 0.6770 0.2230 0.3960
43 Cl 0.7118 0.1588 0.6518
44 Cl 0.7770 0.3230 0.1040
45 Cl 0.7771 0.8445 0.1011
46 Cl 0.8094 0.8408 0.3529
47 Cl 0.8412 0.2882 0.8482
48 Cl 0.8408 0.8094 0.8529
49 Cl 0.8445 0.7771 0.6011
50 Cl 0.9507 0.5174 0.2540

The 6 most intense peaks (10° ≤ 2θ ≤ 90°), in order of falling intensity:
Position (°2θ), intensity
11.17, 100
11.44, 56
10.76, 44
32.09, 28
36.05, 25
37.55, 24

---

No. 2
Calculated X-ray powder pattern of Na7TaP4 for a wavelength of 1.5418 Å, from a crystal structure in OQMD, relaxed with GGA-PBE.

Atomic structure:
Cell: 11.5083 8.1397 11.4873 Å, 90.00 101.64 90.00°
Positions (direct):
1 Na 0.0192 0.0751 0.1376
2 Na 0.0192 0.4249 0.6376
3 Na 0.0475 0.1603 0.4303
4 Na 0.0475 0.3397 0.9303
5 Na 0.1838 0.6872 0.8388
6 Na 0.1838 0.8128 0.3388
7 Na 0.2632 0.0775 0.9202
8 Na 0.2632 0.4225 0.4202
9 Na 0.3081 0.1741 0.2051
10 Na 0.3081 0.3259 0.7051
11 Na 0.4481 0.6872 0.5732
12 Na 0.4481 0.8128 0.0732
13 Na 0.4717 0.5938 0.8615
14 Na 0.4717 0.9062 0.3615
15 Na 0.5283 0.0938 0.6385
16 Na 0.5283 0.4062 0.1385
17 Na 0.5519 0.1872 0.9268
18 Na 0.5519 0.3128 0.4268
19 Na 0.6919 0.6741 0.2949
20 Na 0.6919 0.8259 0.7949
21 Na 0.7368 0.5775 0.5798
22 Na 0.7368 0.9225 0.0798
23 Na 0.8162 0.1872 0.6612
24 Na 0.8162 0.3128 0.1612
25 Na 0.9525 0.6603 0.0697
26 Na 0.9525 0.8397 0.5697
27 Na 0.9808 0.5751 0.3624
28 Na 0.9808 0.9249 0.8624
29 Ta 0.2494 0.5631 0.1343
30 Ta 0.2494 0.9369 0.6343
31 Ta 0.7506 0.0631 0.3657
32 Ta 0.7506 0.4369 0.8657
33 P 0.0972 0.0938 0.6993
34 P 0.0972 0.4062 0.1993
35 P 0.1850 0.6572 0.5780
36 P 0.1850 0.8428 0.0780
37 P 0.3071 0.0827 0.4721
38 P 0.3071 0.4173 0.9721
39 P 0.4192 0.5809 0.2959
40 P 0.4192 0.9191 0.7959
41 P 0.5808 0.0809 0.2041
42 P 0.5808 0.4191 0.7041
43 P 0.6929 0.5827 0.0279
44 P 0.6929 0.9173 0.5279
45 P 0.8150 0.1572 0.9220
46 P 0.8150 0.3428 0.4220
47 P 0.9028 0.5938 0.8007
48 P 0.9028 0.9062 0.3007

The 6 most intense peaks (10° ≤ 2θ ≤ 90°), in order of falling intensity:
Position (°2θ), intensity
13.42, 100
38.84, 93
14.74, 72
32.24, 72
16.36, 67
15.72, 64

---

No. 3
Calculated X-ray powder pattern of Pr5Sn4 for a wavelength of 1.5418 Å, from a crystal structure in OQMD, relaxed with GGA-PBE.

Atomic structure:
Cell: 9.7614 9.7614 6.7134 Å, 90.00 90.00 120.00°
Positions (direct):
1 Pr 0.0000 0.2711 0.2500
2 Pr 0.0000 0.7289 0.7500
3 Pr 0.2711 0.0000 0.2500
4 Pr 0.2711 0.2711 0.7500
5 Pr 0.3333 0.6667 0.0000
6 Pr 0.3333 0.6667 0.5000
7 Pr 0.6667 0.3333 0.0000
8 Pr 0.6667 0.3333 0.5000
9 Pr 0.7289 0.0000 0.7500
10 Pr 0.7289 0.7289 0.2500
11 Sn 0.0000 0.0000 0.0000
12 Sn 0.0000 0.0000 0.5000
13 Sn 0.0000 0.3821 0.7500
14 Sn 0.0000 0.6179 0.2500
15 Sn 0.3821 0.0000 0.7500
16 Sn 0.3821 0.3821 0.2500
17 Sn 0.6179 0.0000 0.2500
18 Sn 0.6179 0.6179 0.7500

The 6 most intense peaks (10° ≤ 2θ ≤ 90°), in order of falling intensity:
Position (°2θ), intensity
32.37, 100
31.76, 81
31.00, 55
45.98, 29
64.63, 24
56.94, 23

---

No. 4
Calculated X-ray powder pattern of K3TaF8 for a wavelength of 1.5418 Å, from a crystal structure in OQMD, relaxed with GGA-PBE.

Atomic structure:
Cell: 7.9957 7.9957 6.0370 Å, 90.00 90.00 120.00°
Positions (direct):
1 K 0.1553 0.3105 0.0000
2 K 0.1553 0.8447 0.0000
3 K 0.3105 0.1553 0.5000
4 K 0.6895 0.8447 0.0000
5 K 0.8447 0.1553 0.5000
6 K 0.8447 0.6895 0.5000
7 Ta 0.3333 0.6667 0.4950
8 Ta 0.6667 0.3333 0.9950
9 F 0.0000 0.0000 0.2582
10 F 0.0000 0.0000 0.7582
11 F 0.1146 0.5573 0.2817
12 F 0.1970 0.3941 0.5758
13 F 0.1970 0.8030 0.5758
14 F 0.3333 0.6667 0.8227
15 F 0.3941 0.1970 0.0758
16 F 0.4427 0.5573 0.2817
17 F 0.4427 0.8854 0.2817
18 F 0.5573 0.1146 0.7817
19 F 0.5573 0.4427 0.7817
20 F 0.6059 0.8030 0.5758
21 F 0.6667 0.3333 0.3227
22 F 0.8030 0.1970 0.0758
23 F 0.8030 0.6059 0.0758
24 F 0.8854 0.4427 0.7817

The 6 most intense peaks (10° ≤ 2θ ≤ 90°), in order of falling intensity:
Position (°2θ), intensity
19.51, 100
29.75, 78
22.24, 49
55.14, 37
45.37, 34
39.61, 34

---

No. 5
Calculated X-ray powder pattern of SrAg2F8 for a wavelength of 1.5418 Å, from a crystal structure in OQMD, relaxed with GGA-PBE.

Atomic structure:
Cell: 6.6468 6.6468 6.6468 Å, 131.98 131.98 70.26°
Positions (direct):
1 Sr 0.0000 0.0000 0.0000
2 Ag 0.2500 0.7500 0.5000
3 Ag 0.7500 0.2500 0.5000
4 F 0.0633 0.5530 0.8691
5 F 0.1942 0.0633 0.5103
6 F 0.3161 0.4470 0.5103
7 F 0.4470 0.9367 0.1309
8 F 0.5530 0.6839 0.4897
9 F 0.6839 0.1942 0.1309
10 F 0.8058 0.3161 0.8691
11 F 0.9367 0.8058 0.4897

The 6 most intense peaks (10° ≤ 2θ ≤ 90°), in order of falling intensity:
Position (°2θ), intensity
28.54, 100
47.42, 41
56.39, 28
23.26, 23
18.32, 21
16.31, 19

---

No. 6
Calculated X-ray powder pattern of Ag7As for a wavelength of 1.5418 Å, from a crystal structure in OQMD, relaxed with GGA-PBE.

Atomic structure:
Cell: 2.8754 4.0768 30.3790 Å, 90.00 90.00 90.00°
Positions (direct):
1 Ag 0.2500 0.2500 0.0243
2 Ag 0.2500 0.2500 0.1221
3 Ag 0.2500 0.2500 0.2201
4 Ag 0.2500 0.2500 0.3221
5 Ag 0.2500 0.2500 0.7308
6 Ag 0.2500 0.2500 0.8282
7 Ag 0.2500 0.2500 0.9264
8 Ag 0.7500 0.7500 0.0736
9 Ag 0.7500 0.7500 0.1718
10 Ag 0.7500 0.7500 0.2692
11 Ag 0.7500 0.7500 0.6779
12 Ag 0.7500 0.7500 0.7799
13 Ag 0.7500 0.7500 0.8779
14 Ag 0.7500 0.7500 0.9757
15 As 0.2500 0.2500 0.6388
16 As 0.7500 0.7500 0.3612

The 6 most intense peaks (10° ≤ 2θ ≤ 90°), in order of falling intensity:
Position (°2θ), intensity
38.31, 100
36.90, 100
43.33, 62
63.81, 37
44.44, 32
39.41, 24

---

No. 7
Calculated X-ray powder pattern of In4Cu for a wavelength of 1.5418 Å, from a crystal structure in OQMD, relaxed with GGA-PBE.

Atomic structure:
Cell: 6.3678 6.3678 5.9210 Å, 90.00 90.00 90.00°
Positions (direct):
1 In 0.0680 0.5680 0.2410
2 In 0.0680 0.9320 0.7590
3 In 0.4320 0.5680 0.7590
4 In 0.4320 0.9320 0.2410
5 In 0.5680 0.0680 0.7590
6 In 0.5680 0.4320 0.2410
7 In 0.9320 0.0680 0.2410
8 In 0.9320 0.4320 0.7590
9 Cu 0.2500 0.2500 0.5000
10 Cu 0.7500 0.7500 0.5000

The 6 most intense peaks (10° ≤ 2θ ≤ 90°), in order of falling intensity:
Position (°2θ), intensity
34.96, 100
41.66, 41
62.11, 31
30.19, 28
28.02, 25
56.75, 23

---

No. 8
Calculated X-ray powder pattern of TlCu3IrS4 for a wavelength of 1.5418 Å, from a crystal structure in OQMD, relaxed with GGA-PBE.

Atomic structure:
Cell: 5.7765 5.7765 5.7765 Å, 90.00 90.00 90.00°
Positions (direct):
1 Tl 0.0000 0.0000 0.0000
2 Cu 0.0000 0.5000 0.5000
3 Cu 0.5000 0.0000 0.5000
4 Cu 0.5000 0.5000 0.0000
5 Ir 0.5000 0.5000 0.5000
6 S 0.2724 0.2724 0.2724
7 S 0.2724 0.7276 0.7276
8 S 0.7276 0.2724 0.7276
9 S 0.7276 0.7276 0.2724

The 6 most intense peaks (10° ≤ 2θ ≤ 90°), in order of falling intensity:
Position (°2θ), intensity
21.76, 100
44.36, 78
38.16, 48
30.96, 45
59.91, 28
26.73, 26

---

No. 9
Calculated X-ray powder pattern of DyLu2Cu4Si2Ge2 for a wavelength of 1.5418 Å, from a crystal structure in OQMD, relaxed with GGA-PBE.

Atomic structure:
Cell: 7.8521 7.8521 7.8521 Å, 149.87 130.30 59.23°
Positions (direct):
1 Dy 0.0000 0.0000 0.0000
2 Lu 0.3710 0.8710 0.5000
3 Lu 0.6290 0.1290 0.5000
4 Cu 0.0165 0.3249 0.6916
5 Cu 0.3668 0.6751 0.6916
6 Cu 0.6332 0.3249 0.3084
7 Cu 0.9835 0.6751 0.3084
8 Si 0.2179 0.2179 0.0000
9 Si 0.7821 0.7821 0.0000
10 Ge 0.3082 0.5000 0.8082
11 Ge 0.6918 0.5000 0.1918

The 6 most intense peaks (10° ≤ 2θ ≤ 90°), in order of falling intensity:
Position (°2θ), intensity
35.59, 100
36.93, 75
45.81, 30
44.39, 28
65.69, 24
28.85, 20

---

No. 10
Calculated X-ray powder pattern of Re10W3 for a wavelength of 1.5418 Å, from a crystal structure in OQMD, relaxed with GGA-PBE.

Atomic structure:
Cell: 9.4966 9.4966 9.4966 Å, 31.12 31.12 31.12°
Positions (direct):
1 Re 0.0464 0.0464 0.0464
2 Re 0.0822 0.5882 0.5882
3 Re 0.3339 0.3339 0.3339
4 Re 0.4118 0.4118 0.9178
5 Re 0.4118 0.9178 0.4118
6 Re 0.5882 0.0822 0.5882
7 Re 0.5882 0.5882 0.0822
8 Re 0.6661 0.6661 0.6661
9 Re 0.9178 0.4118 0.4118
10 Re 0.9536 0.9536 0.9536
11 W 0.1532 0.1532 0.1532
12 W 0.5000 0.5000 0.5000
13 W 0.8468 0.8468 0.8468

The 6 most intense peaks (10° ≤ 2θ ≤ 90°), in order of falling intensity:
Position (°2θ), intensity
40.67, 100
42.02, 49
44.33, 48
41.05, 46
35.23, 45
39.02, 40

---

No. 11
Calculated X-ray powder pattern of TmGe4O9 for a wavelength of 1.5418 Å, from a crystal structure in OQMD, relaxed with GGA-PBE.

Atomic structure:
Cell: 6.4684 6.4684 4.8506 Å, 102.55 102.55 116.15°
Positions (direct):
1 Tm 0.0000 0.0000 0.0000
2 Ge 0.3050 0.6950 0.0000
3 Ge 0.4540 0.5460 0.5000
4 Ge 0.4963 0.1012 0.6857
5 Ge 0.8988 0.5037 0.3143
6 O 0.0471 0.7089 0.1311
7 O 0.1292 0.4860 0.5809
8 O 0.2692 0.4147 0.0949
9 O 0.2911 0.9529 0.8689
10 O 0.3331 0.2173 0.4744
11 O 0.5140 0.8708 0.4191
12 O 0.5853 0.7308 0.9051
13 O 0.7829 0.2171 0.0000
14 O 0.7827 0.6669 0.5256

The 6 most intense peaks (10° ≤ 2θ ≤ 90°), in order of falling intensity:
Position (°2θ), intensity
31.20, 100
30.30, 82
20.90, 77
27.40, 52
33.04, 50
28.27, 37

---

Number 2 is which compound? Na7TaP4